Structure and computed powder diffractogram of Hf5FeTe3 (a DFT-relaxed cell (GGA-PBE, the Materials Project); copper Kα).
Lines closer than 0.1° are merged.

```
data_Hf5FeTe3
_cell_length_a 18.0771
_cell_length_b 3.6707
_cell_length_c 13.3779
_cell_angle_alpha 90.00
_cell_angle_beta 90.00
_cell_angle_gamma 90.00
_symmetry_space_group_name_H-M 'P n m a'
_symmetry_Int_Tables_number 62
_symmetry_space_group_name_Hall '-P 2ac 2n'
loop_
_atom_site_label
_atom_site_type_symbol
_atom_site_fract_x
_atom_site_fract_y
_atom_site_fract_z
Hf1 Hf 0.0428 0.2500 0.0701
Hf2 Hf 0.0891 0.2500 0.8499
Hf3 Hf 0.1227 0.7500 0.2255
Hf4 Hf 0.2103 0.2500 0.0597
Hf5 Hf 0.2432 0.7500 0.8595
Fe1 Fe 0.1299 0.7500 0.9776
Te1 Te 0.0006 0.7500 0.7138
Te2 Te 0.1482 0.7500 0.4433
Te3 Te 0.2064 0.2500 0.6938
```

Largest 10 diffraction maxima, in order of rising 2θ, 10° ≤ 2θ ≤ 80°:
2theta  I_rel
31.56  34
31.92  61
32.12  100
34.98  73
35.97  29
36.66  91
37.38  50
38.66  47
42.05  27
49.67  40


Structure and computed powder diffractogram of SiO2 (a DFT-relaxed cell (GGA-PBE, the Materials Project); copper Kα).
Lines closer than 0.1° are merged.

```
data_SiO2
_cell_length_a 5.2896
_cell_length_b 9.9346
_cell_length_c 8.7980
_cell_angle_alpha 90.00
_cell_angle_beta 90.00
_cell_angle_gamma 90.00
_symmetry_space_group_name_H-M 'I m m a'
_symmetry_Int_Tables_number 74
_symmetry_space_group_name_Hall '-I 2b 2'
loop_
_atom_site_label
_atom_site_type_symbol
_atom_site_fract_x
_atom_site_fract_y
_atom_site_fract_z
Si1 Si 0.0000 0.0922 0.1504
O1 O 0.0000 0.0000 0.0000
O2 O 0.0000 0.2500 0.0998
O3 O 0.2500 0.0582 0.2500
```

Largest 10 diffraction maxima, in order of rising 2θ, 10° ≤ 2θ ≤ 80°:
2theta  I_rel
13.44  100
17.86  26
19.58  74
20.19  7
27.87  29
28.81  27
33.89  6
34.98  7
38.03  8
54.26  6


Structure and computed powder diffractogram of Ac2ZnSi (a DFT-relaxed cell (GGA-PBE, the Materials Project); copper Kα).
Lines closer than 0.1° are merged.

```
data_Ac2ZnSi
_cell_length_a 7.7412
_cell_length_b 7.7412
_cell_length_c 7.7412
_cell_angle_alpha 90.00
_cell_angle_beta 90.00
_cell_angle_gamma 90.00
_symmetry_space_group_name_H-M 'F m -3 m'
_symmetry_Int_Tables_number 225
_symmetry_space_group_name_Hall '-F 4 2 3'
loop_
_atom_site_label
_atom_site_type_symbol
_atom_site_fract_x
_atom_site_fract_y
_atom_site_fract_z
Ac1 Ac 0.2500 0.2500 0.2500
Zn1 Zn 0.0000 0.0000 0.0000
Si1 Si 0.0000 0.0000 0.5000
```

Largest 10 diffraction maxima, in order of rising 2θ, 10° ≤ 2θ ≤ 80°:
2theta  I_rel
19.87  1
22.98  47
32.72  100
40.36  15
46.95  19
52.89  21
58.40  39
68.58  12
73.39  11
78.08  17


Structure and computed powder diffractogram of LaBRh3 (a DFT-relaxed cell (GGA-PBE, the Materials Project); copper Kα).
Lines closer than 0.1° are merged.

```
data_LaBRh3
_cell_length_a 4.2903
_cell_length_b 4.2903
_cell_length_c 4.2903
_cell_angle_alpha 90.00
_cell_angle_beta 90.00
_cell_angle_gamma 90.00
_symmetry_space_group_name_H-M 'P m -3 m'
_symmetry_Int_Tables_number 221
_symmetry_space_group_name_Hall '-P 4 2 3'
loop_
_atom_site_label
_atom_site_type_symbol
_atom_site_fract_x
_atom_site_fract_y
_atom_site_fract_z
La1 La 0.0000 0.0000 0.0000
B1 B 0.5000 0.5000 0.5000
Rh1 Rh 0.0000 0.5000 0.5000
```

Largest 8 diffraction maxima, in order of rising 2θ, 10° ≤ 2θ ≤ 80°:
2theta  I_rel
20.70  1
29.44  2
36.27  100
42.12  53
52.23  1
61.09  34
73.16  38
76.99  11


Structure and computed powder diffractogram of Ti2Ga3 (a DFT-relaxed cell (GGA-PBE, the Materials Project); copper Kα).
Lines closer than 0.1° are merged.

```
data_Ti2Ga3
_cell_length_a 6.2926
_cell_length_b 6.2926
_cell_length_c 4.0065
_cell_angle_alpha 90.00
_cell_angle_beta 90.00
_cell_angle_gamma 90.00
_symmetry_space_group_name_H-M 'P 4/m'
_symmetry_Int_Tables_number 83
_symmetry_space_group_name_Hall '-P 4'
loop_
_atom_site_label
_atom_site_type_symbol
_atom_site_fract_x
_atom_site_fract_y
_atom_site_fract_z
Ti1 Ti 0.1265 0.3035 0.0000
Ga1 Ga 0.0000 0.0000 0.5000
Ga2 Ga 0.1828 0.6045 0.5000
Ga3 Ga 0.5000 0.5000 0.0000
```

Largest 10 diffraction maxima, in order of rising 2θ, 10° ≤ 2θ ≤ 80°:
2theta  I_rel
22.19  3
26.37  2
31.80  3
39.12  100
45.27  17
45.59  32
66.20  19
66.45  9
79.43  11
79.89  20